For Bi3Pd12Pb, a cell relaxed with PBE gives the theoretical powder diffraction line list in this record (Cu Kα (weighted mean of Kα1 and Kα2)).
Intensities are scaled so that the largest is 100.

Cell and atoms:
a b c (Å): 5.8740 9.5458 5.0373
angles (deg): 90.00 90.00 90.00
Fractional coordinates of all 16 atoms:
Bi 0.0000 0.0000 0.0000
Bi 0.5000 0.2501 0.3531
Bi 0.5000 0.7499 0.3531
Pd 0.0000 0.2504 0.3551
Pd 0.0000 0.7496 0.3551
Pd 0.2481 0.5000 0.1980
Pd 0.2487 0.2515 0.8529
Pd 0.2487 0.7485 0.8529
Pd 0.2502 0.0000 0.5089
Pd 0.5000 0.0000 0.9942
Pd 0.5000 0.5000 0.7134
Pd 0.7498 0.0000 0.5089
Pd 0.7513 0.2515 0.8529
Pd 0.7513 0.7485 0.8529
Pd 0.7519 0.5000 0.1980
Pb 0.0000 0.5000 0.7018

Peak list (10 most intense, 2θ = 10–90°, low angle first)
2θ = 36.65°, intensity 35; 2θ = 36.91°, intensity 23; 2θ = 37.69°, intensity 48; 2θ = 40.25°, intensity 100; 2θ = 40.50°, intensity 33; 2θ = 45.74°, intensity 18; 2θ = 63.86°, intensity 19; 2θ = 69.77°, intensity 20; 2θ = 76.11°, intensity 12; 2θ = 76.59°, intensity 23



For LaAsBr, a cell relaxed with PBE gives the theoretical powder diffraction line list in this record (Cu Kα (weighted mean of Kα1 and Kα2)).
Intensities are scaled so that the largest is 100.

Cell and atoms:
a b c (Å): 5.1144 5.1144 5.1144
angles (deg): 60.00 60.00 60.00
Fractional coordinates of all 3 atoms:
La 0.0000 0.0000 0.0000
As 0.2500 0.2500 0.2500
Br 0.7500 0.7500 0.7500

Peak list (10 most intense, 2θ = 10–90°, low angle first)
2θ = 21.28°, intensity 51; 2θ = 35.09°, intensity 100; 2θ = 41.40°, intensity 27; 2θ = 50.47°, intensity 18; 2θ = 55.37°, intensity 11; 2θ = 62.95°, intensity 36; 2θ = 67.26°, intensity 8; 2θ = 74.16°, intensity 11; 2θ = 78.18°, intensity 8; 2θ = 84.77°, intensity 16



For AcCu7O12, a cell relaxed with PBE gives the theoretical powder diffraction line list in this record (Cu Kα (weighted mean of Kα1 and Kα2)).
Intensities are scaled so that the largest is 100.

Cell and atoms:
a b c (Å): 6.4300 6.4300 6.4300
angles (deg): 109.47 109.47 109.47
Fractional coordinates of all 20 atoms:
Ac 0.0000 0.0000 0.0000
Cu 0.0000 0.0000 0.5000
Cu 0.0000 0.5000 0.0000
Cu 0.0000 0.5000 0.5000
Cu 0.5000 0.0000 0.0000
Cu 0.5000 0.0000 0.5000
Cu 0.5000 0.5000 0.0000
Cu 0.5000 0.5000 0.5000
O 0.1410 0.3152 0.8258
O 0.1742 0.4894 0.3152
O 0.1742 0.8590 0.6848
O 0.3152 0.1742 0.4894
O 0.3152 0.8258 0.1410
O 0.4894 0.3152 0.1742
O 0.5106 0.6848 0.8258
O 0.6848 0.1742 0.8590
O 0.6848 0.8258 0.5106
O 0.8258 0.1410 0.3152
O 0.8258 0.5106 0.6848
O 0.8590 0.6848 0.1742

Peak list (10 most intense, 2θ = 10–90°, low angle first)
2θ = 16.89°, intensity 25; 2θ = 29.47°, intensity 12; 2θ = 34.16°, intensity 100; 2θ = 38.34°, intensity 14; 2θ = 45.72°, intensity 15; 2θ = 49.08°, intensity 23; 2θ = 61.15°, intensity 46; 2θ = 63.94°, intensity 6; 2θ = 71.94°, intensity 12; 2θ = 82.10°, intensity 17



For DyMoS, a cell relaxed with PBE gives the theoretical powder diffraction line list in this record (Cu Kα (weighted mean of Kα1 and Kα2)).
Intensities are scaled so that the largest is 100.

Cell and atoms:
a b c (Å): 3.6596 3.6596 8.7458
angles (deg): 90.00 90.00 90.00
Fractional coordinates of all 6 atoms:
Dy 0.2500 0.2500 0.2004
Dy 0.7500 0.7500 0.7996
Mo 0.2500 0.2500 0.5677
Mo 0.7500 0.7500 0.4323
S 0.2500 0.2500 0.8594
S 0.7500 0.7500 0.1406

Peak list (10 most intense, 2θ = 10–90°, low angle first)
2θ = 26.40°, intensity 34; 2θ = 30.67°, intensity 29; 2θ = 31.89°, intensity 53; 2θ = 34.66°, intensity 100; 2θ = 39.52°, intensity 68; 2θ = 46.95°, intensity 34; 2θ = 49.83°, intensity 35; 2θ = 60.39°, intensity 17; 2θ = 65.39°, intensity 30; 2θ = 69.40°, intensity 17



For Na4CdSn, a cell relaxed with PBE gives the theoretical powder diffraction line list in this record (Cu Kα (weighted mean of Kα1 and Kα2)).
Intensities are scaled so that the largest is 100.

Cell and atoms:
a b c (Å): 9.7627 9.7627 5.4011
angles (deg): 90.00 90.00 140.98
Fractional coordinates of all 12 atoms:
Na 0.0379 0.4550 0.2500
Na 0.1980 0.2805 0.2500
Na 0.2805 0.1980 0.7500
Na 0.4550 0.0379 0.7500
Na 0.5450 0.9621 0.2500
Na 0.7195 0.8020 0.2500
Na 0.8020 0.7195 0.7500
Na 0.9621 0.5450 0.7500
Cd 0.3777 0.6223 0.7500
Cd 0.6223 0.3777 0.2500
Sn 0.1280 0.8720 0.2500
Sn 0.8720 0.1280 0.7500

Peak list (10 most intense, 2θ = 10–90°, low angle first)
2θ = 19.05°, intensity 52; 2θ = 19.29°, intensity 25; 2θ = 33.17°, intensity 21; 2θ = 33.57°, intensity 100; 2θ = 33.69°, intensity 30; 2θ = 48.01°, intensity 22; 2θ = 59.52°, intensity 19; 2θ = 59.96°, intensity 11; 2θ = 60.20°, intensity 18; 2θ = 67.32°, intensity 10



For AlAg5Au6, a cell relaxed with PBE gives the theoretical powder diffraction line list in this record (Cu Kα (weighted mean of Kα1 and Kα2)).
Intensities are scaled so that the largest is 100.

Cell and atoms:
a b c (Å): 4.1960 7.8317 6.7884
angles (deg): 90.00 107.46 90.00
Fractional coordinates of all 12 atoms:
Al 0.0000 0.0000 0.0000
Ag 0.0000 0.5000 0.0000
Ag 0.3289 0.0000 0.6578
Ag 0.3331 0.5000 0.6658
Ag 0.6669 0.5000 0.3342
Ag 0.6711 0.0000 0.3422
Au 0.1604 0.2461 0.3224
Au 0.1604 0.7539 0.3224
Au 0.5000 0.2311 0.0000
Au 0.5000 0.7689 0.0000
Au 0.8396 0.2461 0.6776
Au 0.8396 0.7539 0.6776

Peak list (10 most intense, 2θ = 10–90°, low angle first)
2θ = 22.71°, intensity 19; 2θ = 37.59°, intensity 100; 2θ = 37.82°, intensity 98; 2θ = 41.85°, intensity 37; 2θ = 43.12°, intensity 35; 2θ = 46.38°, intensity 27; 2θ = 64.23°, intensity 19; 2θ = 65.17°, intensity 19; 2θ = 73.46°, intensity 13; 2θ = 80.23°, intensity 20



For V12Sn3Pt, a cell relaxed with PBE gives the theoretical powder diffraction line list in this record (Cu Kα (weighted mean of Kα1 and Kα2)).
Intensities are scaled so that the largest is 100.

Cell and atoms:
a b c (Å): 4.9076 4.9140 9.8977
angles (deg): 90.00 90.00 90.00
Fractional coordinates of all 16 atoms:
V 0.0000 0.0000 0.1163
V 0.0000 0.0000 0.3690
V 0.0000 0.0000 0.6310
V 0.0000 0.0000 0.8837
V 0.2441 0.5000 0.2435
V 0.2441 0.5000 0.7565
V 0.5000 0.2439 0.5000
V 0.5000 0.2578 0.0000
V 0.5000 0.7422 0.0000
V 0.5000 0.7561 0.5000
V 0.7559 0.5000 0.2435
V 0.7559 0.5000 0.7565
Sn 0.0000 0.5000 0.5000
Sn 0.5000 0.0000 0.2499
Sn 0.5000 0.0000 0.7501
Pt 0.0000 0.5000 0.0000

Peak list (10 most intense, 2θ = 10–90°, low angle first)
2θ = 25.55°, intensity 48; 2θ = 25.65°, intensity 25; 2θ = 36.31°, intensity 24; 2θ = 36.60°, intensity 46; 2θ = 41.06°, intensity 32; 2θ = 44.99°, intensity 52; 2θ = 45.17°, intensity 100; 2θ = 71.53°, intensity 25; 2θ = 71.76°, intensity 25; 2θ = 71.90°, intensity 26



For K2RhF5, a cell relaxed with PBE gives the theoretical powder diffraction line list in this record (Cu Kα (weighted mean of Kα1 and Kα2)).
Intensities are scaled so that the largest is 100.

Cell and atoms:
a b c (Å): 7.2571 7.2571 7.6008
angles (deg): 118.19 118.19 51.91
Fractional coordinates of all 16 atoms:
K 0.0182 0.9818 0.5000
K 0.6559 0.6959 0.5357
K 0.6959 0.6559 0.0357
K 0.9818 0.0182 0.0000
Rh 0.3378 0.3386 0.5184
Rh 0.3386 0.3378 0.0184
F 0.0755 0.2544 0.8893
F 0.1030 0.6800 0.1392
F 0.2153 0.4612 0.7685
F 0.2544 0.0755 0.3893
F 0.4209 0.6019 0.6474
F 0.4612 0.2153 0.2685
F 0.5746 0.9955 0.8981
F 0.6019 0.4209 0.1474
F 0.6800 0.1030 0.6392
F 0.9955 0.5746 0.3981

Peak list (10 most intense, 2θ = 10–90°, low angle first)
2θ = 15.96°, intensity 70; 2θ = 16.07°, intensity 100; 2θ = 23.46°, intensity 26; 2θ = 27.59°, intensity 54; 2θ = 27.90°, intensity 100; 2θ = 28.10°, intensity 83; 2θ = 29.02°, intensity 89; 2θ = 39.78°, intensity 45; 2θ = 41.58°, intensity 27; 2θ = 50.34°, intensity 67